# 1
Computed powder diffractogram
Compound: Mg14CrNiO16
Radiation: a wavelength of 1.5418 Å
Structure: a DFT-relaxed cell (GGA+U, the Materials Project)
Peak positions follow from Bragg's law for the DFT cell and can differ from measured ones.

Structure:
Cell: 4.299 8.496 8.513 Å, 90.00 90.00 90.00°
Space group Pmmm (No. 47)
Asymmetric unit:
Mg 0.000 0.000 0.000
Mg 0.000 0.000 0.500
Mg 0.000 0.250 0.247
Mg 0.500 0.000 0.249
Mg 0.500 0.250 0.500
Mg 0.500 0.252 0.000
Mg 0.500 0.500 0.247
Cr 0.000 0.500 0.500
Ni 0.000 0.500 0.000
O 0.000 0.000 0.251
O 0.000 0.246 0.000
O 0.000 0.249 0.500
O 0.000 0.500 0.255
O 0.500 0.000 0.000
O 0.500 0.000 0.500
O 0.500 0.251 0.250
O 0.500 0.500 0.000
O 0.500 0.500 0.500

Peak list (6 most intense, 10 to 80 degrees two-theta, by intensity)
index  two_theta  I/Imax
0 4 0  42.52  100
2 4 0  61.33  57
2 0 0  42.04  52
0 4 4  61.70  28
1 2 2  36.47  27
2 4 4  77.48  26

=====

# 2
Computed powder diffractogram
Compound: NaCa3MgFeSi4O14
Radiation: a wavelength of 1.5418 Å
Structure: a DFT-relaxed cell (GGA+U, the Materials Project)
Peak positions follow from Bragg's law for the DFT cell and can differ from measured ones.

Structure:
Cell: 5.084 7.888 7.934 Å, 89.56 89.23 89.30°
Space group P1 (No. 1)
Asymmetric unit:
Na 0.000 0.000 0.000
Ca 0.010 0.343 0.319
Ca 0.988 0.841 0.499
Ca 0.993 0.527 0.847
Mg 0.497 0.678 0.167
Fe 0.500 0.178 0.667
Si 0.432 0.534 0.522
Si 0.436 0.811 0.801
Si 0.557 0.040 0.312
Si 0.559 0.322 0.030
O 0.242 0.048 0.333
O 0.244 0.340 0.032
O 0.279 0.588 0.349
O 0.284 0.358 0.585
O 0.291 0.753 0.975
O 0.298 0.993 0.740
O 0.307 0.675 0.661
O 0.672 0.173 0.164
O 0.695 0.271 0.846
O 0.695 0.858 0.271
O 0.716 0.105 0.484
O 0.721 0.491 0.088
O 0.748 0.527 0.517
O 0.754 0.803 0.789

Peak list (6 most intense, 10 to 80 degrees two-theta, by intensity)
index  two_theta  I/Imax
1 -2 1  30.95  100
1 1 2  30.46  67
1 2 -1  30.78  62
1 0 -2  28.77  42
-2 1 3  51.58  30
1 0 0  17.45  28